Diffraction record for Zn3Cr2O7. The PXRD pattern is computed, not measured: it uses a DFT-relaxed cell (GGA+U, Alexandria) and Cu Ka.

Top 12 peaks for 5 to 70 degrees two-theta, most intense first:
| 2θ/deg | I (rel.) | hkl |
| --- | --- | --- |
| 34.5 | 100 | 5 1 1 |
| 34.7 | 28 | 0 2 0 |
| 35.1 | 27 | 0 0 2 |
| 50.1 | 23 | 0 2 2 |
| 62.0 | 23 | 5 3 1 |
| 62.5 | 20 | 5 1 3 |
| 48.9 | 16 | 10 0 0 |
| 61.6 | 12 | 10 0 2 |
| 61.4 | 12 | 10 2 0 |
| 42.1 | 7 | 7 1 1 |
| 38.1 | 6 | 7 1 0 |
| 58.9 | 5 | 3 1 3 |

Structural model:
a = 18.611 Å, b = 5.173 Å, c = 5.118 Å
α = 90.00°, β = 90.00°, γ = 90.00°
Space group Cmc2_1 (No. 36)
Symmetry-distinct sites (fractional):
Zn  0.000  0.235  0.000 x4
Zn  0.201  0.278  0.942 x8
Cr  0.102  0.249  0.474 x8
O  0.000  0.142  0.394 x4
O  0.077  0.419  0.790 x8
O  0.128  0.082  0.158 x8
O  0.202  0.350  0.552 x8